For Sm3Hf, the GGA-PBE geometry in the Materials Project gives the simulated PXRD pattern in this record (Cu Ka).

Structural model:
```
data_Sm3Hf
_chemical_formula_sum 'Sm6 Hf2'
_space_group_name_H-M_alt 'I 4/m m m'
_space_group_IT_number 139
_space_group_name_Hall '-I 4 2'
_cell_length_a 4.9430
_cell_length_b 4.9430
_cell_length_c 9.7968
_cell_angle_alpha 90.00
_cell_angle_beta 90.00
_cell_angle_gamma 90.00
loop_
_atom_site_label
_atom_site_type_symbol
_atom_site_fract_x
_atom_site_fract_y
_atom_site_fract_z
Sm1 Sm 0.0000 0.0000 0.0000
Sm2 Sm 0.0000 0.5000 0.2500
Hf1 Hf 0.0000 0.0000 0.5000
```

Top 10 peaks for 2θ = 15–90°, sorted by position:
2.845 Å, 2θ 31.44, rel. 100.0, (1 1 2); 2.472 Å, 2θ 36.35, rel. 33.9, (2 0 0); 2.449 Å, 2θ 36.69, rel. 16.5, (0 0 4); 1.748 Å, 2θ 52.35, rel. 12.0, (2 2 0); 1.740 Å, 2θ 52.61, rel. 23.7, (2 0 4); 1.489 Å, 2θ 62.36, rel. 28.4, (3 1 2); 1.479 Å, 2θ 62.82, rel. 13.9, (1 1 6); 1.423 Å, 2θ 65.63, rel. 12.2, (2 2 4); 1.133 Å, 2θ 85.71, rel. 6.0, (3 3 2); 1.129 Å, 2θ 86.12, rel. 11.8, (3 1 6)


For Sm3Hf, the GGA-PBE geometry in the Materials Project gives the simulated PXRD pattern in this record (Cu Ka).

Structural model:
```
data_Sm3Hf
_chemical_formula_sum 'Sm3 Hf1'
_space_group_name_H-M_alt 'P m -3 m'
_space_group_IT_number 221
_space_group_name_Hall '-P 4 2 3'
_cell_length_a 4.9434
_cell_length_b 4.9434
_cell_length_c 4.9434
_cell_angle_alpha 90.00
_cell_angle_beta 90.00
_cell_angle_gamma 90.00
loop_
_atom_site_label
_atom_site_type_symbol
_atom_site_fract_x
_atom_site_fract_y
_atom_site_fract_z
Sm1 Sm 0.0000 0.0000 0.5000
Hf1 Hf 0.5000 0.5000 0.5000
```

Top 8 peaks for 2θ = 15–90°, sorted by position:
2.854 Å, 2θ 31.34, rel. 100.0, (1 1 1); 2.472 Å, 2θ 36.35, rel. 50.5, (2 0 0); 1.748 Å, 2θ 52.35, rel. 35.7, (2 2 0); 1.490 Å, 2θ 62.29, rel. 42.3, (3 1 1); 1.427 Å, 2θ 65.40, rel. 12.2, (2 2 2); 1.236 Å, 2θ 77.19, rel. 5.7, (4 0 0); 1.134 Å, 2θ 85.65, rel. 17.8, (3 3 1); 1.105 Å, 2θ 88.44, rel. 16.7, (4 2 0)


For Hf3Sn, the GGA-PBE geometry in the Materials Project gives the simulated PXRD pattern in this record (Cu Ka).

Structural model:
```
data_Hf3Sn
_chemical_formula_sum 'Hf3 Sn1'
_space_group_name_H-M_alt 'P m -3 m'
_space_group_IT_number 221
_space_group_name_Hall '-P 4 2 3'
_cell_length_a 4.4373
_cell_length_b 4.4373
_cell_length_c 4.4373
_cell_angle_alpha 90.00
_cell_angle_beta 90.00
_cell_angle_gamma 90.00
loop_
_atom_site_label
_atom_site_type_symbol
_atom_site_fract_x
_atom_site_fract_y
_atom_site_fract_z
Hf1 Hf 0.0000 0.0000 0.5000
Sn1 Sn 0.5000 0.5000 0.5000
```

Top 10 peaks for 2θ = 15–90°, sorted by position:
4.437 Å, 2θ 20.01, rel. 2.1, (1 0 0); 3.138 Å, 2θ 28.45, rel. 1.8, (1 1 0); 2.562 Å, 2θ 35.03, rel. 100.0, (1 1 1); 2.219 Å, 2θ 40.67, rel. 50.0, (2 0 0); 1.984 Å, 2θ 45.72, rel. 1.0, (2 1 0); 1.812 Å, 2θ 50.37, rel. 0.7, (2 1 1); 1.569 Å, 2θ 58.87, rel. 34.2, (2 2 0); 1.338 Å, 2θ 70.37, rel. 40.5, (3 1 1); 1.281 Å, 2θ 74.00, rel. 11.7, (2 2 2); 1.109 Å, 2θ 88.05, rel. 5.9, (4 0 0)


For Hf5Sn4, the GGA-PBE geometry in the Materials Project gives the simulated PXRD pattern in this record (Cu Ka).

Structural model:
```
data_Hf5Sn4
_chemical_formula_sum 'Hf10 Sn8'
_space_group_name_H-M_alt 'P 63/m c m'
_space_group_IT_number 193
_space_group_name_Hall '-P 6c 2'
_cell_length_a 8.7743
_cell_length_b 8.7743
_cell_length_c 5.9121
_cell_angle_alpha 90.00
_cell_angle_beta 90.00
_cell_angle_gamma 120.00
loop_
_atom_site_label
_atom_site_type_symbol
_atom_site_fract_x
_atom_site_fract_y
_atom_site_fract_z
Hf1 Hf 0.0000 0.2823 0.2500
Hf2 Hf 0.3333 0.6667 0.0000
Sn1 Sn 0.0000 0.0000 0.0000
Sn2 Sn 0.0000 0.3866 0.7500
```

Top 10 peaks for 2θ = 15–90°, sorted by position:
2.583 Å, 2θ 34.73, rel. 46.3, (2 1 1); 2.533 Å, 2θ 35.44, rel. 87.5, (3 0 0); 2.451 Å, 2θ 36.66, rel. 100.0, (1 1 2); 1.985 Å, 2θ 45.70, rel. 14.4, (3 1 1); 1.762 Å, 2θ 51.91, rel. 28.2, (2 2 2); 1.625 Å, 2θ 56.64, rel. 11.6, (2 1 3); 1.446 Å, 2θ 64.43, rel. 21.0, (4 1 2); 1.395 Å, 2θ 67.07, rel. 11.2, (4 2 1); 1.330 Å, 2θ 70.86, rel. 10.2, (5 1 1); 1.277 Å, 2θ 74.30, rel. 21.1, (3 0 4)


For HfSn, the GGA-PBE geometry in the Materials Project gives the simulated PXRD pattern in this record (Cu Ka).

Structural model:
```
data_HfSn
_chemical_formula_sum 'Hf4 Sn4'
_space_group_name_H-M_alt 'P 21 3'
_space_group_IT_number 198
_space_group_name_Hall 'P 2ac 2ab 3'
_cell_length_a 5.6680
_cell_length_b 5.6680
_cell_length_c 5.6680
_cell_angle_alpha 90.00
_cell_angle_beta 90.00
_cell_angle_gamma 90.00
loop_
_atom_site_label
_atom_site_type_symbol
_atom_site_fract_x
_atom_site_fract_y
_atom_site_fract_z
Hf1 Hf 0.1429 0.1429 0.1429
Sn1 Sn 0.1564 0.3436 0.6564
```

Top 10 peaks for 2θ = 15–90°, sorted by position:
3.272 Å, 2θ 27.25, rel. 10.3, (1 1 1); 2.834 Å, 2θ 31.57, rel. 9.3, (2 0 0); 2.535 Å, 2θ 35.41, rel. 100.0, (2 1 0); 2.314 Å, 2θ 38.92, rel. 52.9, (2 1 1); 1.889 Å, 2θ 48.16, rel. 6.9, (2 2 1); 1.709 Å, 2θ 53.63, rel. 12.2, (3 1 1); 1.515 Å, 2θ 61.18, rel. 38.2, (3 1 2); 1.417 Å, 2θ 65.92, rel. 9.4, (4 0 0); 1.300 Å, 2θ 72.72, rel. 11.6, (3 3 1); 1.237 Å, 2θ 77.11, rel. 15.9, (4 2 1)


For Hf5Sn3, the GGA-PBE geometry in the Materials Project gives the simulated PXRD pattern in this record (Cu Ka).

Structural model:
```
data_Hf5Sn3
_chemical_formula_sum 'Hf10 Sn6'
_space_group_name_H-M_alt 'P 63/m c m'
_space_group_IT_number 193
_space_group_name_Hall '-P 6c 2'
_cell_length_a 8.4658
_cell_length_b 8.4658
_cell_length_c 5.7162
_cell_angle_alpha 90.00
_cell_angle_beta 90.00
_cell_angle_gamma 120.00
loop_
_atom_site_label
_atom_site_type_symbol
_atom_site_fract_x
_atom_site_fract_y
_atom_site_fract_z
Hf1 Hf 0.0000 0.2421 0.2500
Hf2 Hf 0.3333 0.6667 0.0000
Sn1 Sn 0.0000 0.3934 0.7500
```

Top 10 peaks for 2θ = 15–90°, sorted by position:
2.858 Å, 2θ 31.30, rel. 13.1, (0 0 2); 2.771 Å, 2θ 32.31, rel. 36.3, (2 1 0); 2.663 Å, 2θ 33.66, rel. 19.9, (1 0 2); 2.494 Å, 2θ 36.02, rel. 100.0, (2 1 1); 2.444 Å, 2θ 36.78, rel. 42.9, (3 0 0); 2.369 Å, 2θ 37.99, rel. 72.3, (1 1 2); 1.701 Å, 2θ 53.90, rel. 20.0, (2 2 2); 1.570 Å, 2θ 58.81, rel. 24.7, (2 1 3); 1.543 Å, 2θ 59.96, rel. 15.8, (4 0 2); 1.305 Å, 2θ 72.44, rel. 16.0, (5 0 2)


For Hf3Sn, the GGA-PBE geometry in the Materials Project gives the simulated PXRD pattern in this record (Cu Ka).

Structural model:
```
data_Hf3Sn
_chemical_formula_sum 'Hf6 Sn2'
_space_group_name_H-M_alt 'I 4/m m m'
_space_group_IT_number 139
_space_group_name_Hall '-I 4 2'
_cell_length_a 4.3248
_cell_length_b 4.3248
_cell_length_c 9.4350
_cell_angle_alpha 90.00
_cell_angle_beta 90.00
_cell_angle_gamma 90.00
loop_
_atom_site_label
_atom_site_type_symbol
_atom_site_fract_x
_atom_site_fract_y
_atom_site_fract_z
Hf1 Hf 0.0000 0.0000 0.0000
Hf2 Hf 0.0000 0.5000 0.2500
Sn1 Sn 0.0000 0.0000 0.5000
```

Top 10 peaks for 2θ = 15–90°, sorted by position:
3.931 Å, 2θ 22.62, rel. 2.1, (1 0 1); 2.566 Å, 2θ 34.97, rel. 100.0, (1 1 2); 2.359 Å, 2θ 38.15, rel. 19.8, (0 0 4); 2.162 Å, 2θ 41.77, rel. 30.8, (2 0 0); 1.594 Å, 2θ 57.85, rel. 23.9, (2 0 4); 1.529 Å, 2θ 60.55, rel. 10.4, (2 2 0); 1.398 Å, 2θ 66.91, rel. 15.5, (1 1 6); 1.314 Å, 2θ 71.88, rel. 25.3, (3 1 2); 1.283 Å, 2θ 73.86, rel. 11.7, (2 2 4); 1.179 Å, 2θ 81.64, rel. 2.3, (0 0 8)


For Hf3Sn, the GGA-PBE geometry in the Materials Project gives the simulated PXRD pattern in this record (Cu Ka).

Structural model:
```
data_Hf3Sn
_chemical_formula_sum 'Hf6 Sn2'
_space_group_name_H-M_alt 'P 63/m m c'
_space_group_IT_number 194
_space_group_name_Hall '-P 6c 2c'
_cell_length_a 6.2728
_cell_length_b 6.2728
_cell_length_c 5.1116
_cell_angle_alpha 90.00
_cell_angle_beta 90.00
_cell_angle_gamma 120.00
loop_
_atom_site_label
_atom_site_type_symbol
_atom_site_fract_x
_atom_site_fract_y
_atom_site_fract_z
Hf1 Hf 0.1663 0.3325 0.2500
Sn1 Sn 0.3333 0.6667 0.7500
```

Top 10 peaks for 2θ = 15–90°, sorted by position:
2.716 Å, 2θ 32.98, rel. 23.5, (2 0 0); 2.556 Å, 2θ 35.11, rel. 26.5, (0 0 2); 2.399 Å, 2θ 37.50, rel. 100.0, (2 0 1); 1.861 Å, 2θ 48.93, rel. 15.8, (2 0 2); 1.568 Å, 2θ 58.89, rel. 18.2, (2 2 0); 1.443 Å, 2θ 64.57, rel. 21.1, (2 0 3); 1.337 Å, 2θ 70.45, rel. 21.5, (2 2 2); 1.313 Å, 2θ 71.94, rel. 15.4, (4 0 1); 1.199 Å, 2θ 80.00, rel. 3.8, (4 0 2); 1.156 Å, 2θ 83.63, rel. 3.5, (2 0 4)


For HfTa, the GGA-PBE geometry in the Materials Project gives the simulated PXRD pattern in this record (Cu Ka).

Structural model:
```
data_HfTa
_chemical_formula_sum 'Hf2 Ta2'
_space_group_name_H-M_alt 'C m m m'
_space_group_IT_number 65
_space_group_name_Hall '-C 2 2'
_cell_length_a 3.4255
_cell_length_b 4.7992
_cell_length_c 4.8476
_cell_angle_alpha 90.00
_cell_angle_beta 90.00
_cell_angle_gamma 90.00
loop_
_atom_site_label
_atom_site_type_symbol
_atom_site_fract_x
_atom_site_fract_y
_atom_site_fract_z
Hf1 Hf 0.0000 0.0000 0.0000
Ta1 Ta 0.0000 0.5000 0.5000
```

Top 10 peaks for 2θ = 15–90°, sorted by position:
2.424 Å, 2θ 37.09, rel. 25.2, (0 0 2); 2.417 Å, 2θ 37.20, rel. 100.0, (1 1 1); 2.400 Å, 2θ 37.48, rel. 24.5, (0 2 0); 1.713 Å, 2θ 53.50, rel. 8.9, (2 0 0); 1.705 Å, 2θ 53.75, rel. 17.5, (0 2 2); 1.398 Å, 2θ 66.92, rel. 27.4, (2 0 2); 1.394 Å, 2θ 67.15, rel. 9.0, (2 2 0); 1.389 Å, 2θ 67.44, rel. 17.8, (1 3 1); 1.212 Å, 2θ 79.01, rel. 2.9, (0 0 4); 1.208 Å, 2θ 79.28, rel. 11.4, (2 2 2)


For HfTaV4, the GGA-PBE geometry in the Materials Project gives the simulated PXRD pattern in this record (Cu Ka).

Structural model:
```
data_HfTaV4
_chemical_formula_sum 'Hf4 Ta4 V16'
_space_group_name_H-M_alt 'F -4 3 m'
_space_group_IT_number 216
_space_group_name_Hall 'F -4 2 3'
_cell_length_a 7.2163
_cell_length_b 7.2163
_cell_length_c 7.2163
_cell_angle_alpha 90.00
_cell_angle_beta 90.00
_cell_angle_gamma 90.00
loop_
_atom_site_label
_atom_site_type_symbol
_atom_site_fract_x
_atom_site_fract_y
_atom_site_fract_z
Hf1 Hf 0.0000 0.0000 0.0000
Ta1 Ta 0.2500 0.2500 0.2500
V1 V 0.1251 0.1251 0.6251
```

Top 10 peaks for 2θ = 15–90°, sorted by position:
4.166 Å, 2θ 21.33, rel. 32.0, (1 1 1); 2.551 Å, 2θ 35.17, rel. 81.0, (2 2 0); 2.176 Å, 2θ 41.50, rel. 100.0, (3 1 1); 2.083 Å, 2θ 43.44, rel. 9.2, (2 2 2); 1.656 Å, 2θ 55.51, rel. 8.7, (3 3 1); 1.473 Å, 2θ 63.12, rel. 30.2, (4 2 2); 1.389 Å, 2θ 67.44, rel. 30.7, (5 1 1); 1.276 Å, 2θ 74.36, rel. 21.2, (4 4 0); 1.141 Å, 2θ 85.01, rel. 13.5, (6 2 0); 1.100 Å, 2θ 88.94, rel. 11.2, (5 3 3)


For HfTc2, the GGA-PBE geometry in the Materials Project gives the simulated PXRD pattern in this record (Cu Ka).

Structural model:
```
data_HfTc2
_chemical_formula_sum 'Hf4 Tc8'
_space_group_name_H-M_alt 'P 63/m m c'
_space_group_IT_number 194
_space_group_name_Hall '-P 6c 2c'
_cell_length_a 5.2019
_cell_length_b 5.2019
_cell_length_c 8.6821
_cell_angle_alpha 90.00
_cell_angle_beta 90.00
_cell_angle_gamma 120.00
loop_
_atom_site_label
_atom_site_type_symbol
_atom_site_fract_x
_atom_site_fract_y
_atom_site_fract_z
Hf1 Hf 0.3333 0.6667 0.0644
Tc1 Tc 0.0000 0.0000 0.0000
Tc2 Tc 0.1724 0.3449 0.7500
```

Top 10 peaks for 2θ = 15–90°, sorted by position:
2.601 Å, 2θ 34.48, rel. 49.1, (1 1 0); 2.435 Å, 2θ 36.92, rel. 94.8, (1 0 3); 2.252 Å, 2θ 40.03, rel. 13.3, (2 0 0); 2.231 Å, 2θ 40.43, rel. 100.0, (1 1 2); 2.180 Å, 2θ 41.41, rel. 68.5, (2 0 1); 1.468 Å, 2θ 63.38, rel. 34.8, (2 1 3); 1.419 Å, 2θ 65.81, rel. 23.7, (3 0 2); 1.375 Å, 2θ 68.19, rel. 30.6, (2 0 5); 1.300 Å, 2θ 72.71, rel. 24.9, (2 2 0); 1.147 Å, 2θ 84.45, rel. 17.5, (3 1 3)


For HfThTc2, the GGA-PBE geometry in the Materials Project gives the simulated PXRD pattern in this record (Cu Ka).

Structural model:
```
data_HfThTc2
_chemical_formula_sum 'Hf4 Th4 Tc8'
_space_group_name_H-M_alt 'F m -3 m'
_space_group_IT_number 225
_space_group_name_Hall '-F 4 2 3'
_cell_length_a 6.8138
_cell_length_b 6.8138
_cell_length_c 6.8138
_cell_angle_alpha 90.00
_cell_angle_beta 90.00
_cell_angle_gamma 90.00
loop_
_atom_site_label
_atom_site_type_symbol
_atom_site_fract_x
_atom_site_fract_y
_atom_site_fract_z
Hf1 Hf 0.0000 0.0000 0.0000
Th1 Th 0.0000 0.0000 0.5000
Tc1 Tc 0.2500 0.2500 0.2500
```

Top 10 peaks for 2θ = 15–90°, sorted by position:
3.934 Å, 2θ 22.60, rel. 1.4, (1 1 1); 3.407 Å, 2θ 26.16, rel. 13.1, (2 0 0); 2.409 Å, 2θ 37.33, rel. 100.0, (2 2 0); 2.054 Å, 2θ 44.08, rel. 0.8, (3 1 1); 1.967 Å, 2θ 46.15, rel. 4.1, (2 2 2); 1.703 Å, 2θ 53.82, rel. 17.5, (4 0 0); 1.524 Å, 2θ 60.79, rel. 5.7, (4 2 0); 1.391 Å, 2θ 67.32, rel. 35.7, (4 2 2); 1.205 Å, 2θ 79.59, rel. 11.2, (4 4 0); 1.136 Å, 2θ 85.51, rel. 3.0, (6 0 0)